[1]
# Li2CdSnN
Computed powder diffractogram, Cu Kα (λ = 1.5418 Å). Input: a structure optimized by DFT (PBE).
Neutral-atom scattering factors, no anomalous dispersion.

Structure:
Cell: 5.4285 5.4285 4.1850 Å, 90.00 90.00 90.00°
Space group P4/mmm (No. 123)
One atom of each set of equivalent atoms:
Li (0.0000, 0.5000, 0.0000)
Cd (0.0000, 0.0000, 0.5000)
Sn (0.5000, 0.5000, 0.0000)
N (0.5000, 0.5000, 0.5000)

Top 6 peaks for 2θ = 10–90°, most intense first:
Position (°2θ)	d (Å)	I (rel.)	hkl
26.90	3.314	100	1 0 1
23.17	3.839	85	1 1 0
43.08	2.100	58	2 1 1
33.00	2.714	41	2 0 0
49.62	1.837	21	1 1 2
55.45	1.657	18	2 0 2


[2]
# NaLi10Cd6
Computed powder diffractogram, Cu Kα (λ = 1.5418 Å). Input: a structure optimized by DFT (PBE).
Neutral-atom scattering factors, no anomalous dispersion.

Structure:
Cell: 8.2398 8.2398 5.7724 Å, 90.00 90.00 120.00°
Space group P-31m (No. 162)
One atom of each set of equivalent atoms:
Na (0.0000, 0.0000, 0.0000)
Li (0.0000, 0.3052, 0.3359)
Li (0.3333, 0.6667, 0.0000)
Li (0.3333, 0.6667, 0.5000)
Cd (0.0000, 0.3626, 0.8241)

Top 6 peaks for 2θ = 10–90°, most intense first:
Position (°2θ)	d (Å)	I (rel.)	hkl
26.58	3.353	100	2 -1 1
38.07	2.364	45	1 1 2
37.82	2.379	37	3 0 0
21.57	4.120	30	1 1 0
15.35	5.772	24	0 0 1
46.83	1.940	17	2 2 1


[3]
# Na2LiCd16
Computed powder diffractogram, Cu Kα (λ = 1.5418 Å). Input: a structure optimized by DFT (PBE).
Neutral-atom scattering factors, no anomalous dispersion.

Structure:
Cell: 10.1785 10.1785 15.2122 Å, 90.00 90.00 120.00°
Space group R3m (No. 160, hexagonal axes)
One atom of each set of equivalent atoms:
Na (0.0000, 0.0000, 0.0000)
Na (0.0000, 0.0000, 0.3232)
Li (0.0000, 0.0000, 0.7537)
Cd (0.0000, 0.0000, 0.5545)
Cd (0.0006, 0.2963, 0.6644)
Cd (0.0117, 0.5059, 0.8092)
Cd (0.1695, 0.3389, 0.8527)
Cd (0.1702, 0.3404, 0.4971)

Top 6 peaks for 2θ = 10–90°, most intense first:
Position (°2θ)	d (Å)	I (rel.)	hkl
39.65	2.273	100	2 2 3
35.29	2.543	85	0 3 3
17.43	5.087	56	1 1 0
35.40	2.535	25	0 0 6
35.86	2.504	20	2 0 5
31.06	2.879	16	0 2 4


[4]
# NaLi17Cd
Computed powder diffractogram, Cu Kα (λ = 1.5418 Å). Input: a structure optimized by DFT (PBE).
Neutral-atom scattering factors, no anomalous dispersion.

Structure:
Cell: 9.2045 9.2045 16.0438 Å, 90.00 90.00 120.00°
Space group R3m (No. 160, hexagonal axes)
One atom of each set of equivalent atoms:
Na (0.0000, 0.0000, 0.0000)
Li (0.0000, 0.0000, 0.5773)
Li (0.0000, 0.0000, 0.7348)
Li (0.0249, 0.3443, 0.3238)
Li (0.2014, 0.4029, 0.5064)
Li (0.2119, 0.4237, 0.1287)
Li (0.2191, 0.4383, 0.8410)
Cd (0.0000, 0.0000, 0.3249)

Top 6 peaks for 2θ = 10–90°, most intense first:
Position (°2θ)	d (Å)	I (rel.)	hkl
12.40	7.139	100	1 0 1
25.54	3.488	60	1 1 3
19.29	4.602	58	1 1 0
15.67	5.654	56	0 1 2
37.81	2.380	46	3 0 3
24.89	3.577	38	1 0 4